Structure and calculated powder diffraction line list of LiNbZnO4 (a crystal structure in OQMD, relaxed with PBE; Cu Kα, 1.54184 Å).

The 10 most intense peaks (10° ≤ 2θ ≤ 90°), in order of falling intensity:
2θ/deg	I_rel
34.64	100
23.23	53
35.35	47
25.81	41
29.75	40
61.79	39
14.55	34
55.52	24
52.30	20
60.87	18

Crystal structure
Cell lengths 6.0878, 6.0878, 8.3810 Å; angles 90.00, 90.00, 90.00 degrees
Positions (direct):
Li 0.0000 0.2180 0.0000
Li 0.0000 0.7820 0.5000
Li 0.2180 0.0000 0.7500
Li 0.7820 0.0000 0.2500
Nb 0.2106 0.5000 0.7500
Nb 0.5000 0.2106 0.0000
Nb 0.5000 0.7894 0.5000
Nb 0.7894 0.5000 0.2500
Zn 0.2595 0.2595 0.3750
Zn 0.2595 0.7405 0.1250
Zn 0.7405 0.2595 0.6250
Zn 0.7405 0.7405 0.8750
O 0.0135 0.2599 0.7492
O 0.0135 0.7401 0.7508
O 0.2599 0.0135 0.0008
O 0.2599 0.9865 0.4992
O 0.2635 0.4798 0.9861
O 0.2635 0.5202 0.5139
O 0.4798 0.2635 0.7639
O 0.4798 0.7365 0.7361
O 0.5202 0.2635 0.2361
O 0.5202 0.7365 0.2639
O 0.7365 0.4798 0.0139
O 0.7365 0.5202 0.4861
O 0.7401 0.0135 0.9992
O 0.7401 0.9865 0.5008
O 0.9865 0.2599 0.2508
O 0.9865 0.7401 0.2492


Structure and calculated powder diffraction line list of Cd2P2Se7 (a crystal structure in OQMD, relaxed with PBE; Cu Kα, 1.54184 Å).

The 10 most intense peaks (10° ≤ 2θ ≤ 90°), in order of falling intensity:
2θ/deg	I_rel
28.22	100
27.83	64
46.85	30
43.64	29
33.03	25
37.32	23
16.34	21
21.04	21
25.22	18
48.00	17

Crystal structure
Cell lengths 6.5264, 6.5264, 8.6846 Å; angles 101.86, 101.86, 56.77 degrees
Positions (direct):
Cd 0.2011 0.2011 0.1710
Cd 0.7989 0.7989 0.8290
P 0.1019 0.0779 0.7058
P 0.9221 0.8981 0.2942
Se 0.2210 0.7123 0.7577
Se 0.2878 0.7790 0.2423
Se 0.4001 0.1006 0.6435
Se 0.6290 0.1186 0.1041
Se 0.7823 0.2177 0.5000
Se 0.8814 0.3710 0.8959
Se 0.8994 0.5999 0.3565


Structure and calculated powder diffraction line list of Ag3Bi11 (a crystal structure in OQMD, relaxed with PBE; Cu Kα, 1.54184 Å).

The 10 most intense peaks (10° ≤ 2θ ≤ 90°), in order of falling intensity:
2θ/deg	I_rel
32.45	100
32.10	81
41.36	68
31.83	68
25.42	67
39.16	53
25.84	51
36.25	46
41.94	39
30.67	31

Crystal structure
Cell lengths 8.9575, 8.9575, 7.0100 Å; angles 112.25, 112.25, 61.84 degrees
Positions (direct):
Ag 0.0000 0.0000 0.0000
Ag 0.3642 0.3642 0.6311
Ag 0.6198 0.6198 0.2967
Bi 0.2164 0.7898 0.3321
Bi 0.2169 0.2169 0.1944
Bi 0.2965 0.7361 0.8026
Bi 0.3979 0.3979 0.0810
Bi 0.4774 0.9866 0.6063
Bi 0.5676 0.9174 0.0530
Bi 0.7361 0.2965 0.8026
Bi 0.7898 0.2164 0.3321
Bi 0.8549 0.8549 0.5488
Bi 0.9174 0.5676 0.0530
Bi 0.9866 0.4774 0.6063


Structure and calculated powder diffraction line list of Hf3Pb4Au4 (a crystal structure in OQMD, relaxed with PBE; Cu Kα, 1.54184 Å).

The 10 most intense peaks (10° ≤ 2θ ≤ 90°), in order of falling intensity:
2θ/deg	I_rel
38.92	100
23.51	60
38.77	54
70.28	33
45.84	19
55.99	18
70.58	13
36.93	13
27.15	11
46.10	9

Crystal structure
Cell lengths 8.0071, 8.0071, 8.0071 Å; angles 131.56, 131.56, 70.92 degrees
Positions (direct):
Hf 0.0000 0.0000 0.0000
Hf 0.2500 0.7500 0.5000
Hf 0.7500 0.2500 0.5000
Pb 0.0000 0.5000 0.5000
Pb 0.2773 0.2773 0.0000
Pb 0.5000 0.0000 0.5000
Pb 0.7227 0.7227 0.0000
Au 0.0990 0.6412 0.0000
Au 0.3588 0.3588 0.4578
Au 0.6412 0.0990 0.0000
Au 0.9010 0.9010 0.5422


Structure and calculated powder diffraction line list of Li4IrPbO6 (a crystal structure in OQMD, relaxed with PBE; Cu Kα, 1.54184 Å).

The 10 most intense peaks (10° ≤ 2θ ≤ 90°), in order of falling intensity:
2θ/deg	I_rel
18.29	100
33.83	65
41.66	43
19.97	41
35.53	39
22.67	31
45.89	27
19.00	23
59.41	21
41.81	21

Crystal structure
Cell lengths 5.3917, 5.3917, 5.1672 Å; angles 99.89, 99.89, 120.10 degrees
Positions (direct):
Li 0.0000 0.0000 0.0000
Li 0.3630 0.6370 0.0000
Li 0.6774 0.3226 0.0000
Li 0.8443 0.1557 0.5000
Ir 0.5117 0.4883 0.5000
Pb 0.1792 0.8208 0.5000
O 0.1221 0.4038 0.2562
O 0.2786 0.2612 0.7348
O 0.4362 0.1064 0.2579
O 0.5962 0.8779 0.7438
O 0.7388 0.7214 0.2652
O 0.8936 0.5638 0.7421


Structure and calculated powder diffraction line list of Gd3Tl4SnPb2 (a crystal structure in OQMD, relaxed with PBE; Cu Kα, 1.54184 Å).

The 10 most intense peaks (10° ≤ 2θ ≤ 90°), in order of falling intensity:
2θ/deg	I_rel
32.31	100
35.07	18
38.54	16
38.74	16
65.83	13
66.10	13
61.18	13
53.09	11
53.24	11
55.80	11

Crystal structure
Cell lengths 13.0043, 13.0043, 4.6715 Å; angles 90.00, 90.00, 159.41 degrees
Positions (direct):
Gd 0.0000 0.0000 0.0000
Gd 0.1883 0.8117 0.0000
Gd 0.8117 0.1883 0.0000
Tl 0.0969 0.9031 0.5000
Tl 0.4037 0.5963 0.0000
Tl 0.5963 0.4037 0.0000
Tl 0.9031 0.0969 0.5000
Sn 0.5000 0.5000 0.5000
Pb 0.2947 0.7053 0.5000
Pb 0.7053 0.2947 0.5000


Structure and calculated powder diffraction line list of Re6NiPt (a crystal structure in OQMD, relaxed with PBE; Cu Kα, 1.54184 Å).

The 10 most intense peaks (10° ≤ 2θ ≤ 90°), in order of falling intensity:
2θ/deg	I_rel
43.27	100
41.20	26
37.81	25
82.96	20
76.52	19
68.28	17
57.15	15
84.37	15
18.65	5
27.67	3

Crystal structure
Cell lengths 5.4946, 5.4946, 4.3826 Å; angles 90.00, 90.00, 120.00 degrees
Positions (direct):
Re 0.0013 0.5006 0.0000
Re 0.1734 0.3467 0.5000
Re 0.1734 0.8266 0.5000
Re 0.4994 0.5006 0.0000
Re 0.4994 0.9987 0.0000
Re 0.6533 0.8266 0.5000
Ni 0.6667 0.3333 0.5000
Pt 0.0000 0.0000 0.0000


Structure and calculated powder diffraction line list of Sr2Au17 (a crystal structure in OQMD, relaxed with PBE; Cu Kα, 1.54184 Å).

The 10 most intense peaks (10° ≤ 2θ ≤ 90°), in order of falling intensity:
2θ/deg	I_rel
42.15	100
37.57	81
37.32	46
38.32	36
42.83	30
18.41	28
67.31	26
32.17	23
33.28	18
38.54	18

Crystal structure
Cell lengths 7.2851, 7.2851, 7.2760 Å; angles 97.10, 97.10, 82.79 degrees
Positions (direct):
Sr 0.1602 0.1602 0.3382
Sr 0.8398 0.8398 0.6618
Au 0.0000 0.5000 0.0000
Au 0.1490 0.1490 0.8431
Au 0.1501 0.6582 0.3500
Au 0.1935 0.4989 0.6931
Au 0.1961 0.8039 0.0000
Au 0.3418 0.8499 0.6500
Au 0.3992 0.3992 0.1001
Au 0.4989 0.1935 0.6931
Au 0.5000 0.0000 0.0000
Au 0.5000 0.5000 0.5000
Au 0.5011 0.8065 0.3069
Au 0.6008 0.6008 0.8999
Au 0.6582 0.1501 0.3500
Au 0.8039 0.1961 0.0000
Au 0.8065 0.5011 0.3069
Au 0.8499 0.3418 0.6500
Au 0.8510 0.8510 0.1569